# Li2CuAsF6
Computed powder XRD pattern, Cu Ka. Input: a PBE-relaxed structure.
Intensities are scaled so that the largest is 100.

Most intense lines, 2θ from 5° to 70°, low angle first:
- hkl 1 1 1, 2θ = 18.32°, I = 1
- hkl 2 0 0, 2θ = 21.18°, I = 100
- hkl 2 2 0, 2θ = 30.14°, I = 35
- hkl 4 0 0, 2θ = 43.14°, I = 35
- hkl 4 2 0, 2θ = 48.54°, I = 40
- hkl 4 2 2, 2θ = 53.52°, I = 15
- hkl 4 4 0, 2θ = 62.65°, I = 20
- hkl 6 0 0, 2θ = 66.93°, I = 17

Atomic structure:
a b c (Å): 8.388 8.388 8.388
angles (deg): 90.00 90.00 90.00
Space group Fm-3m (No. 225)
Inequivalent atoms, fractional coordinates:
1 Li 0.250 0.250 0.250 x8
2 Cu 0.000 0.000 0.000 x4
3 As 0.000 0.000 0.500 x4
4 F 0.000 0.000 0.254 x24

***

# CuAs2S4O8F12
Computed powder XRD pattern, Cu Ka. Input: a PBE-relaxed structure.
Intensities are scaled so that the largest is 100.

Most intense lines, 2θ from 5° to 70°, low angle first:
- hkl 0 1 1, 2θ = 12.01°, I = 69
- hkl 1 1 0, 2θ = 13.68°, I = 44
- hkl 0 2 1, 2θ = 16.73°, I = 73
- hkl 1 1 1, 2θ = 18.72°, I = 35
- hkl 1 1 -2, 2θ = 21.54°, I = 65
- hkl 1 3 0, 2θ = 23.48°, I = 37
- hkl 1 3 -1, 2θ = 24.28°, I = 100
- hkl 2 1 -1, 2θ = 24.40°, I = 27
- hkl 1 0 2, 2θ = 25.94°, I = 59
- hkl 2 2 -2, 2θ = 30.24°, I = 29

Atomic structure:
a b c (Å): 7.690 13.215 9.198
angles (deg): 90.00 105.15 90.00
Space group P2_1/c (No. 14)
Inequivalent atoms, fractional coordinates:
1 Cu 0.000 0.000 0.000 x2
2 As 0.314 0.135 0.785 x4
3 S 0.204 0.707 0.451 x4
4 S 0.272 0.042 0.331 x4
5 O 0.130 0.631 0.538 x4
6 O 0.171 0.691 0.292 x4
7 O 0.180 0.064 0.172 x4
8 O 0.227 0.551 0.894 x4
9 F 0.154 0.148 0.609 x4
10 F 0.174 0.040 0.837 x4
11 F 0.203 0.229 0.863 x4
12 F 0.422 0.037 0.708 x4
13 F 0.457 0.226 0.736 x4
14 F 0.473 0.118 0.963 x4